Diffraction record for LiVCrP2H2O10. The X-ray diffraction stick pattern is theoretical, not measured: it uses a GGA+U-relaxed structure and Cu Kα, 1.54184 Å.
Kinematic intensities with the Lorentz-polarization factor, no thermal factor.

Top 12 peaks for 5 to 70 degrees two-theta, in order of rising 2θ:
two_theta, I_rel
17.98, 49
18.36, 71
18.77, 55
22.42, 28
25.70, 32
26.20, 31
26.45, 63
26.95, 27
27.13, 100
29.37, 78
36.45, 35
55.93, 28

Crystal structure
```
LiVCrP2H2O10
1.0
6.886 0.000 0.000
0.080 7.440 0.000
3.259 1.626 10.401
Li V Cr P H O
3 3 3 6 6 30
Direct
0.000 0.000 0.000
0.166 0.959 0.347
0.500 0.623 0.680
0.080 0.979 0.675
0.422 0.646 0.007
0.747 0.313 0.342
0.250 0.313 0.840
0.584 0.980 0.173
0.918 0.643 0.506
0.197 0.239 0.141
0.301 0.387 0.541
0.531 0.906 0.475
0.634 0.054 0.873
0.866 0.570 0.807
0.970 0.719 0.206
0.206 0.640 0.858
0.295 0.983 0.824
0.559 0.311 0.179
0.608 0.646 0.169
0.873 0.974 0.523
0.943 0.313 0.501
0.008 0.743 0.792
0.022 0.223 0.270
0.057 0.724 0.318
0.110 0.235 0.028
0.145 0.732 0.076
0.164 0.211 0.559
0.177 0.555 0.527
0.180 0.060 0.812
0.318 0.067 0.160
0.321 0.565 0.868
0.336 0.411 0.122
0.355 0.893 0.605
0.391 0.388 0.653
0.440 0.916 0.363
0.479 0.391 0.414
0.491 0.883 0.889
0.512 0.224 0.862
0.517 0.732 0.138
0.648 0.732 0.492
0.651 0.225 0.210
0.676 0.074 0.458
0.687 0.566 0.933
0.727 0.041 0.985
0.774 0.585 0.695
0.813 0.056 0.746
0.829 0.547 0.224
0.850 0.891 0.186
0.852 0.399 0.470
0.988 0.400 0.818
0.988 0.898 0.534
```

Diffraction record for MgTi4Fe3O12. The X-ray diffraction stick pattern is theoretical, not measured: it uses a GGA+U-relaxed structure and Cu Kα, 1.54184 Å.
Kinematic intensities with the Lorentz-polarization factor, no thermal factor.

Top 12 peaks for 5 to 70 degrees two-theta, in order of rising 2θ:
two_theta, I_rel
16.17, 61
16.48, 100
22.28, 51
29.27, 42
30.49, 48
32.61, 43
32.77, 41
33.24, 67
33.37, 63
34.11, 39
47.32, 41
48.31, 49

Crystal structure
```
MgTi4Fe3O12
1.0
6.453 0.000 0.000
-2.088 6.143 0.000
-2.362 -2.938 5.864
Mg Ti Fe O
1 4 3 12
Direct
0.000 0.000 0.000
0.432 0.887 0.788
0.438 0.412 0.318
0.914 0.894 0.325
0.943 0.367 0.788
0.482 0.425 0.802
0.867 0.365 0.220
0.919 0.718 0.635
0.105 0.353 0.064
0.105 0.748 0.449
0.197 0.152 0.342
0.219 0.541 0.761
0.264 0.006 0.910
0.530 0.663 0.578
0.614 0.173 0.779
0.621 0.562 0.168
0.707 0.348 0.439
0.715 0.967 0.064
0.889 0.635 0.899
0.902 0.041 0.577
```

Diffraction record for Ta2CrNO5. The X-ray diffraction stick pattern is theoretical, not measured: it uses a GGA+U-relaxed structure and Cu Kα, 1.54184 Å.
Kinematic intensities with the Lorentz-polarization factor, no thermal factor.

Top 12 peaks for 5 to 70 degrees two-theta, in order of rising 2θ:
two_theta, I_rel
20.94, 13
21.05, 17
26.48, 100
34.60, 40
34.79, 39
37.80, 25
52.05, 15
52.15, 16
52.29, 16
52.46, 16
54.53, 16
61.61, 15

Crystal structure
```
Ta2CrNO5
1.0
3.364 -3.368 0.000
3.364 3.368 0.000
-0.077 0.000 9.239
Ta Cr N O
4 2 2 10
Direct
0.000 0.000 0.000
0.504 0.504 0.823
0.520 0.520 0.486
0.995 0.995 0.330
0.012 0.012 0.656
0.511 0.511 0.155
0.811 0.811 0.490
0.813 0.813 0.154
0.207 0.207 0.151
0.208 0.208 0.487
0.213 0.213 0.823
0.311 0.702 0.324
0.316 0.708 0.983
0.317 0.703 0.657
0.702 0.311 0.324
0.703 0.317 0.657
0.708 0.316 0.983
0.815 0.815 0.824
```

Diffraction record for LiTl3Mo2O8. The X-ray diffraction stick pattern is theoretical, not measured: it uses a GGA+U-relaxed structure and Cu Kα, 1.54184 Å.
Kinematic intensities with the Lorentz-polarization factor, no thermal factor.

Top 12 peaks for 5 to 70 degrees two-theta, in order of rising 2θ:
two_theta, I_rel
10.93, 14
16.66, 16
23.48, 34
27.69, 97
29.07, 100
37.70, 12
40.58, 39
48.10, 13
50.69, 37
51.54, 21
60.26, 16
67.57, 16

Crystal structure
```
LiTl3Mo2O8
1.0
6.143 0.000 0.000
-3.072 5.320 0.000
0.000 0.000 16.192
Li Tl Mo O
2 6 4 16
Direct
0.333 0.667 0.000
0.667 0.333 0.500
0.000 0.000 0.104
0.000 0.000 0.357
0.000 0.000 0.604
0.000 0.000 0.857
0.333 0.667 0.203
0.667 0.333 0.703
0.333 0.667 0.502
0.333 0.667 0.773
0.667 0.333 0.002
0.667 0.333 0.273
0.014 0.507 0.541
0.172 0.344 0.738
0.172 0.828 0.738
0.333 0.667 0.392
0.333 0.667 0.882
0.344 0.172 0.238
0.493 0.507 0.541
0.493 0.986 0.541
0.507 0.014 0.041
0.507 0.493 0.041
0.656 0.828 0.738
0.667 0.333 0.382
0.667 0.333 0.892
0.828 0.172 0.238
0.828 0.656 0.238
0.986 0.493 0.041
```

Diffraction record for SrCa7TiMn7O23. The X-ray diffraction stick pattern is theoretical, not measured: it uses a GGA+U-relaxed structure and Cu Kα, 1.54184 Å.
Kinematic intensities with the Lorentz-polarization factor, no thermal factor.

Top 12 peaks for 5 to 70 degrees two-theta, in order of rising 2θ:
two_theta, I_rel
11.56, 4
23.25, 9
33.10, 100
33.17, 15
39.03, 4
40.82, 4
47.53, 48
59.10, 26
59.24, 20
69.34, 5
69.45, 7
69.58, 11

Crystal structure
```
SrCa7TiMn7O23
1.0
5.401 -5.421 0.000
5.401 5.421 0.000
-0.014 0.000 7.650
Sr Ca Ti Mn O
1 7 1 7 23
Direct
0.000 0.000 0.000
0.004 0.469 0.000
0.008 0.486 0.503
0.469 0.004 0.000
0.470 0.470 0.502
0.486 0.008 0.503
0.488 0.488 0.000
0.996 0.996 0.503
0.732 0.732 0.276
0.242 0.242 0.251
0.243 0.243 0.750
0.243 0.742 0.249
0.245 0.741 0.751
0.739 0.739 0.744
0.741 0.245 0.751
0.742 0.243 0.249
0.186 0.717 0.000
0.219 0.219 0.500
0.245 0.493 0.277
0.246 0.493 0.724
0.247 0.992 0.229
0.247 0.992 0.770
0.264 0.264 0.000
0.300 0.761 0.500
0.493 0.245 0.277
0.493 0.246 0.724
0.496 0.747 0.190
0.496 0.747 0.817
0.684 0.684 0.495
0.717 0.186 0.000
0.744 0.991 0.290
0.744 0.992 0.702
0.747 0.496 0.190
0.747 0.496 0.817
0.761 0.300 0.500
0.991 0.744 0.290
0.992 0.247 0.229
0.992 0.247 0.770
0.992 0.744 0.702
```

Diffraction record for Li4V3Fe3Sn2O16. The X-ray diffraction stick pattern is theoretical, not measured: it uses a GGA+U-relaxed structure and Cu Kα, 1.54184 Å.
Kinematic intensities with the Lorentz-polarization factor, no thermal factor.

Top 12 peaks for 5 to 70 degrees two-theta, in order of rising 2θ:
two_theta, I_rel
19.31, 24
19.49, 100
19.60, 25
25.02, 24
32.27, 20
32.40, 19
35.08, 26
35.35, 28
35.46, 28
36.18, 23
39.57, 16
59.19, 16

Crystal structure
```
Li4V3Fe3Sn2O16
1.0
5.902 0.000 0.000
2.935 5.169 0.000
0.029 0.102 9.863
Li V Fe Sn O
4 3 3 2 16
Direct
0.000 0.000 0.000
0.000 0.000 0.500
0.339 0.321 0.102
0.672 0.655 0.598
0.179 0.171 0.779
0.648 0.171 0.779
0.828 0.343 0.274
0.167 0.665 0.778
0.342 0.829 0.281
0.828 0.829 0.281
0.332 0.334 0.498
0.668 0.664 0.003
0.043 0.464 0.659
0.156 0.167 0.392
0.159 0.680 0.397
0.323 0.844 0.890
0.343 0.312 0.892
0.486 0.027 0.654
0.492 0.464 0.659
0.522 0.955 0.150
0.530 0.500 0.152
0.676 0.167 0.392
0.685 0.630 0.389
0.831 0.845 0.890
0.839 0.321 0.886
0.970 0.499 0.153
0.989 0.020 0.187
0.989 0.023 0.689
```